Entry 1:
# Al4InAgTe8
Calculated XRD peak list, Cu Kα. Input: a structure optimized by DFT (PBE).

Structure:
```
Al4InAgTe8
1.0
4.4296 -5.9308 0.0000
4.4296 5.9308 0.0000
-0.0364 0.0000 8.9109
Al In Ag Te
4 1 1 8
Direct
0.0000 0.0000 0.0000 Al
0.9998 0.4794 0.2468 Al
0.5206 0.0002 0.7532 Al
0.5221 0.4779 0.5000 Al
0.0092 0.9908 0.5000 In
0.5107 0.4893 0.0000 Ag
0.1160 0.3682 0.9942 Te
0.1411 0.3943 0.5089 Te
0.1420 0.8460 0.7651 Te
0.1540 0.8580 0.2349 Te
0.6057 0.8589 0.4911 Te
0.6318 0.8840 0.0058 Te
0.6347 0.3411 0.2585 Te
0.6589 0.3653 0.7415 Te
```

Most intense lines, 2θ from 10° to 90°, by intensity:
- 25.04 deg, I = 100
- 41.89 deg, I = 38
- 48.31 deg, I = 15
- 50.53 deg, I = 12
- 40.73 deg, I = 12
- 40.49 deg, I = 11

Entry 2:
# MgTe4Mo2W2Se2S2
Calculated XRD peak list, Cu Kα. Input: a structure optimized by DFT (PBE).

Structure:
```
MgTe4Mo2W2Se2S2
1.0
3.3925 0.0000 0.0000
-1.6962 2.9380 0.0000
0.0000 0.0000 47.2949
Mg Te Mo W Se S
1 4 2 2 2 2
Direct
0.0000 0.0000 0.0000 Mg
0.3333 0.6667 0.0622 Te
0.3333 0.6667 0.1420 Te
0.3333 0.6667 0.4305 Te
0.3333 0.6667 0.5104 Te
0.3333 0.6667 0.2827 Mo
0.6667 0.3333 0.1023 Mo
0.3333 0.6667 0.8973 W
0.6667 0.3333 0.4704 W
0.6667 0.3333 0.8622 Se
0.6667 0.3333 0.9326 Se
0.6667 0.3333 0.2509 S
0.6667 0.3333 0.3145 S
```

Most intense lines, 2θ from 10° to 90°, by intensity:
- 39.42 deg, I = 100
- 34.08 deg, I = 73
- 30.43 deg, I = 55
- 37.06 deg, I = 55
- 54.07 deg, I = 40
- 31.90 deg, I = 33

Entry 3:
# AgAsXe2F10
Calculated XRD peak list, Cu Kα. Input: a structure optimized by DFT (PBE).

Structure:
```
AgAsXe2F10
1.0
-4.3920 4.3920 6.4376
4.3920 -4.3920 6.4376
4.3920 4.3920 -6.4376
Ag As Xe F
2 2 4 20
Direct
0.0000 0.5000 0.5000 Ag
0.5000 0.0000 0.5000 Ag
0.0000 0.0000 0.0000 As
0.5000 0.5000 0.0000 As
0.0000 0.0000 0.5000 Xe
0.0000 0.5000 0.0000 Xe
0.5000 0.0000 0.0000 Xe
0.5000 0.5000 0.5000 Xe
0.0301 0.7637 0.5000 F
0.0754 0.8126 0.8880 F
0.1374 0.1374 0.0000 F
0.1874 0.0754 0.2629 F
0.2363 0.7363 0.2665 F
0.2637 0.5301 0.5000 F
0.3126 0.5754 0.8880 F
0.3626 0.3626 0.0000 F
0.4246 0.3126 0.7371 F
0.4699 0.9699 0.7335 F
0.5301 0.0301 0.2665 F
0.5754 0.6874 0.2629 F
0.6374 0.6374 0.0000 F
0.6874 0.4246 0.1120 F
0.7363 0.4699 0.5000 F
0.7637 0.2637 0.7335 F
0.8126 0.9246 0.7371 F
0.8626 0.8626 0.0000 F
0.9246 0.1874 0.1120 F
0.9699 0.2363 0.5000 F
```

Most intense lines, 2θ from 10° to 90°, by intensity:
- 24.54 deg, I = 100
- 28.75 deg, I = 37
- 48.45 deg, I = 33
- 40.36 deg, I = 20
- 47.14 deg, I = 19
- 27.71 deg, I = 17

Entry 4:
# Cs2KEuCl6
Calculated XRD peak list, Cu Kα. Input: a structure optimized by DFT (PBE).

Structure:
```
Cs2KEuCl6
1.0
0.0000 5.7369 5.7369
5.7369 0.0000 5.7369
5.7369 5.7369 0.0000
Cs K Eu Cl
2 1 1 6
Direct
0.2500 0.2500 0.2500 Cs
0.7500 0.7500 0.7500 Cs
0.0000 0.0000 0.0000 K
0.5000 0.5000 0.5000 Eu
0.2634 0.2634 0.7366 Cl
0.2634 0.7366 0.2634 Cl
0.2634 0.7366 0.7366 Cl
0.7366 0.2634 0.2634 Cl
0.7366 0.2634 0.7366 Cl
0.7366 0.7366 0.2634 Cl
```

Most intense lines, 2θ from 10° to 90°, by intensity:
- 21.91 deg, I = 100
- 31.18 deg, I = 64
- 38.44 deg, I = 47
- 44.68 deg, I = 44
- 60.37 deg, I = 26
- 13.37 deg, I = 23

Entry 5:
# K2NaGdCl6
Calculated XRD peak list, Cu Kα. Input: a structure optimized by DFT (PBE).

Structure:
```
K2NaGdCl6
1.0
0.0000 5.3938 5.3938
5.3938 0.0000 5.3938
5.3938 5.3938 0.0000
K Na Gd Cl
2 1 1 6
Direct
0.2500 0.2500 0.2500 K
0.7500 0.7500 0.7500 K
0.0000 0.0000 0.0000 Na
0.5000 0.5000 0.5000 Gd
0.2537 0.2537 0.7463 Cl
0.2537 0.7463 0.2537 Cl
0.2537 0.7463 0.7463 Cl
0.7463 0.2537 0.2537 Cl
0.7463 0.2537 0.7463 Cl
0.7463 0.7463 0.2537 Cl
```

Most intense lines, 2θ from 10° to 90°, by intensity:
- 33.22 deg, I = 100
- 14.22 deg, I = 82
- 23.32 deg, I = 77
- 16.43 deg, I = 73
- 47.69 deg, I = 66
- 27.42 deg, I = 48

Entry 6:
# Pr2MgS4
Calculated XRD peak list, Cu Kα. Input: a structure optimized by DFT (PBE).

Structure:
```
Pr2MgS4
1.0
14.1264 0.0000 0.0000
0.0000 8.2967 0.0000
0.0000 0.0000 6.6773
Pr Mg S
8 4 16
Direct
0.0000 0.0000 0.0000 Pr
0.0000 0.5000 0.0000 Pr
0.2304 0.2500 0.4981 Pr
0.2696 0.7500 0.9981 Pr
0.5000 0.0000 0.5000 Pr
0.5000 0.5000 0.5000 Pr
0.7304 0.2500 0.0019 Pr
0.7696 0.7500 0.5019 Pr
0.0925 0.7500 0.4228 Mg
0.4075 0.2500 0.9228 Mg
0.5925 0.7500 0.0772 Mg
0.9075 0.2500 0.5772 Mg
0.0656 0.2500 0.7411 S
0.0929 0.7500 0.7849 S
0.1673 0.5186 0.2511 S
0.1673 0.9814 0.2511 S
0.3327 0.0186 0.7511 S
0.3327 0.4814 0.7511 S
0.4071 0.2500 0.2849 S
0.4344 0.7500 0.2411 S
0.5656 0.2500 0.7589 S
0.5929 0.7500 0.7151 S
0.6673 0.5186 0.2489 S
0.6673 0.9814 0.2489 S
0.8327 0.0186 0.7489 S
0.8327 0.4814 0.7489 S
0.9071 0.2500 0.2151 S
0.9344 0.7500 0.2589 S
```

Most intense lines, 2θ from 10° to 90°, by intensity:
- 36.83 deg, I = 100
- 18.17 deg, I = 90
- 26.06 deg, I = 65
- 23.11 deg, I = 55
- 14.67 deg, I = 49
- 25.52 deg, I = 48